Simulated XRD peak list
Compound: Sr2LiBeB3O8
Radiation: Cu Kα (λ = 1.5418 Å)
Structure: the GGA-PBE geometry in Alexandria
Lines closer than 0.1° are merged.

Structural model:
abc: 8.787 6.509 13.045
angles: 90.00 106.49 90.00
Positions (direct):
Sr 0.039 0.101 0.156
Sr 0.039 0.399 0.656
Sr 0.351 0.243 0.921
Sr 0.351 0.257 0.421
Sr 0.649 0.743 0.579
Sr 0.649 0.757 0.079
Sr 0.961 0.601 0.344
Sr 0.961 0.899 0.844
Li 0.373 0.739 0.331
Li 0.373 0.761 0.831
Li 0.627 0.239 0.169
Li 0.627 0.261 0.669
Be 0.326 0.068 0.650
Be 0.326 0.432 0.150
Be 0.674 0.568 0.850
Be 0.674 0.932 0.350
B 0.064 0.643 0.119
B 0.064 0.857 0.619
B 0.256 0.737 0.011
B 0.256 0.763 0.511
B 0.412 0.057 0.205
B 0.412 0.443 0.705
B 0.588 0.557 0.295
B 0.588 0.943 0.795
B 0.744 0.237 0.489
B 0.744 0.263 0.989
B 0.936 0.143 0.381
B 0.936 0.357 0.881
O 0.054 0.222 0.345
O 0.054 0.278 0.845
O 0.115 0.727 0.545
O 0.115 0.773 0.045
O 0.140 0.039 0.650
O 0.140 0.461 0.150
O 0.273 0.638 0.432
O 0.273 0.862 0.932
O 0.313 0.004 0.265
O 0.313 0.496 0.765
O 0.359 0.583 0.057
O 0.359 0.917 0.557
O 0.365 0.197 0.120
O 0.365 0.303 0.620
O 0.434 0.017 0.773
O 0.434 0.483 0.273
O 0.566 0.517 0.727
O 0.566 0.983 0.227
O 0.635 0.697 0.380
O 0.635 0.803 0.880
O 0.641 0.083 0.443
O 0.641 0.417 0.943
O 0.687 0.504 0.235
O 0.687 0.996 0.735
O 0.727 0.138 0.068
O 0.727 0.362 0.568
O 0.860 0.539 0.850
O 0.860 0.961 0.350
O 0.885 0.227 0.955
O 0.885 0.273 0.455
O 0.946 0.722 0.155
O 0.946 0.778 0.655

Largest 10 diffraction maxima, in order of rising 2θ, 2θ from 10° to 90°:
2θ 17.21, intensity 72
2θ 25.82, intensity 72
2θ 27.45, intensity 71
2θ 28.33, intensity 45
2θ 28.72, intensity 86
2θ 30.99, intensity 100
2θ 31.41, intensity 49
2θ 31.75, intensity 71
2θ 31.87, intensity 84
2θ 44.18, intensity 48